This entry pairs a crystal structure of Ba2TaAlS6 with its calculated powder X-ray diffraction pattern. Radiation: Cu Kα (λ = 1.5418 Å). Structure: a DFT-relaxed cell (PBE, Alexandria).
Neutral-atom scattering factors, no anomalous dispersion.

Atomic structure:
Lattice parameters (Å, degrees): 12.1101 12.1101 12.1101 32.99 32.99 32.99
Atoms (fractional coordinates):
Ba  0.1230  0.1230  0.1230
Ba  0.2932  0.2932  0.2932
Ba  0.7068  0.7068  0.7068
Ba  0.8770  0.8770  0.8770
Ta  0.4143  0.4143  0.4143
Ta  0.5857  0.5857  0.5857
Al  0.0000  0.0000  0.0000
Al  0.5000  0.5000  0.5000
S  0.1318  0.6212  0.6212
S  0.2048  0.2048  0.7121
S  0.2048  0.7121  0.2048
S  0.2879  0.7952  0.7952
S  0.3788  0.3788  0.8682
S  0.3788  0.8682  0.3788
S  0.6212  0.1318  0.6212
S  0.6212  0.6212  0.1318
S  0.7121  0.2048  0.2048
S  0.7952  0.2879  0.7952
S  0.7952  0.7952  0.2879
S  0.8682  0.3788  0.3788

Largest 8 diffraction maxima, most intense first, 2θ from 15° to 90°:
d = 3.438 Å, 2θ 25.9, intensity 100
d = 2.545 Å, 2θ 35.3, intensity 75
d = 3.785 Å, 2θ 23.5, intensity 71
d = 1.719 Å, 2θ 53.3, intensity 36
d = 2.249 Å, 2θ 40.1, intensity 30
d = 5.867 Å, 2θ 15.1, intensity 26
d = 2.046 Å, 2θ 44.3, intensity 26
d = 2.973 Å, 2θ 30.1, intensity 26


This entry pairs a crystal structure of Zr3Cd3Hg with its calculated powder X-ray diffraction pattern. Radiation: Cu Kα (λ = 1.5418 Å). Structure: a DFT-relaxed cell (PBE, Alexandria).
Neutral-atom scattering factors, no anomalous dispersion.

Atomic structure:
Lattice parameters (Å, degrees): 10.4066 10.4066 10.4066 35.47 35.47 35.47
Atoms (fractional coordinates):
Zr  0.2107  0.2107  0.7033
Zr  0.2107  0.7033  0.2107
Zr  0.2967  0.7893  0.7893
Zr  0.7033  0.2107  0.2107
Zr  0.7893  0.2967  0.7893
Zr  0.7893  0.7893  0.2967
Cd  0.1212  0.6310  0.6310
Cd  0.3690  0.3690  0.8788
Cd  0.3690  0.8788  0.3690
Cd  0.6310  0.1212  0.6310
Cd  0.6310  0.6310  0.1212
Cd  0.8788  0.3690  0.3690
Hg  0.2902  0.2902  0.2902
Hg  0.7098  0.7098  0.7098

Largest 8 diffraction maxima, most intense first, 2θ from 15° to 90°:
d = 2.485 Å, 2θ 36.1, intensity 100
d = 2.294 Å, 2θ 39.3, intensity 92
d = 2.698 Å, 2θ 33.2, intensity 50
d = 2.435 Å, 2θ 36.9, intensity 45
d = 1.328 Å, 2θ 70.9, intensity 38
d = 1.585 Å, 2θ 58.2, intensity 35
d = 4.389 Å, 2θ 20.2, intensity 26
d = 1.661 Å, 2θ 55.3, intensity 19


This entry pairs a crystal structure of KHg8Au4 with its calculated powder X-ray diffraction pattern. Radiation: Cu Kα (λ = 1.5418 Å). Structure: a DFT-relaxed cell (PBE, Alexandria).
Neutral-atom scattering factors, no anomalous dispersion.

Atomic structure:
Lattice parameters (Å, degrees): 9.1410 9.1410 9.1410 55.38 55.38 55.38
Atoms (fractional coordinates):
K  0.0000  0.0000  0.0000
Hg  0.2708  0.2708  0.2708
Hg  0.2751  0.2751  0.6927
Hg  0.2751  0.6927  0.2751
Hg  0.3073  0.7249  0.7249
Hg  0.6927  0.2751  0.2751
Hg  0.7249  0.3073  0.7249
Hg  0.7249  0.7249  0.3073
Hg  0.7292  0.7292  0.7292
Au  0.0000  0.5000  0.5000
Au  0.5000  0.0000  0.5000
Au  0.5000  0.5000  0.0000
Au  0.5000  0.5000  0.5000

Largest 8 diffraction maxima, most intense first, 2θ from 15° to 90°:
d = 3.104 Å, 2θ 28.8, intensity 100
d = 2.274 Å, 2θ 39.6, intensity 38
d = 2.124 Å, 2θ 42.6, intensity 34
d = 2.384 Å, 2θ 37.7, intensity 22
d = 1.753 Å, 2θ 52.2, intensity 14
d = 2.337 Å, 2θ 38.5, intensity 11
d = 1.428 Å, 2θ 65.4, intensity 11
d = 1.683 Å, 2θ 54.5, intensity 11


This entry pairs a crystal structure of YTm3Th5 with its calculated powder X-ray diffraction pattern. Radiation: Cu Kα (λ = 1.5418 Å). Structure: a DFT-relaxed cell (PBE, Alexandria).
Neutral-atom scattering factors, no anomalous dispersion.

Atomic structure:
Lattice parameters (Å, degrees): 9.6218 9.6218 9.6218 123.13 123.13 84.66
Atoms (fractional coordinates):
Y  0.2500  0.7500  0.5000
Y  0.7500  0.2500  0.5000
Tm  0.1041  0.6041  0.7081
Tm  0.2500  0.2500  0.0000
Tm  0.3959  0.1041  0.5000
Tm  0.6041  0.8959  0.5000
Tm  0.7500  0.7500  0.0000
Tm  0.8959  0.3959  0.2919
Th  0.0000  0.0000  0.0000
Th  0.0817  0.1672  0.5000
Th  0.1672  0.6672  0.0855
Th  0.3328  0.4183  0.5000
Th  0.4183  0.9183  0.0855
Th  0.5000  0.5000  0.0000
Th  0.5817  0.0817  0.9145
Th  0.6672  0.5817  0.5000
Th  0.8328  0.3328  0.9145
Th  0.9183  0.8328  0.5000

Largest 8 diffraction maxima, most intense first, 2θ from 15° to 90°:
d = 2.809 Å, 2θ 31.9, intensity 100
d = 3.240 Å, 2θ 27.5, intensity 55
d = 3.101 Å, 2θ 28.8, intensity 38
d = 1.777 Å, 2θ 51.4, intensity 29
d = 2.196 Å, 2θ 41.1, intensity 23
d = 2.502 Å, 2θ 35.9, intensity 22
d = 2.898 Å, 2θ 30.9, intensity 20
d = 2.337 Å, 2θ 38.5, intensity 17


This entry pairs a crystal structure of LaDy14Pu with its calculated powder X-ray diffraction pattern. Radiation: Cu Kα (λ = 1.5418 Å). Structure: a DFT-relaxed cell (PBE, Alexandria).
Neutral-atom scattering factors, no anomalous dispersion.

Atomic structure:
Lattice parameters (Å, degrees): 7.0999 7.0999 10.0035 90.00 90.00 90.00
Atoms (fractional coordinates):
La  0.0000  0.0000  0.0000
Dy  0.0000  0.0000  0.5000
Dy  0.0000  0.5000  0.0000
Dy  0.0000  0.5000  0.5000
Dy  0.2529  0.2529  0.2505
Dy  0.2529  0.2529  0.7495
Dy  0.2529  0.7471  0.2505
Dy  0.2529  0.7471  0.7495
Dy  0.5000  0.0000  0.0000
Dy  0.5000  0.0000  0.5000
Dy  0.5000  0.5000  0.5000
Dy  0.7471  0.2529  0.2505
Dy  0.7471  0.2529  0.7495
Dy  0.7471  0.7471  0.2505
Dy  0.7471  0.7471  0.7495
Pu  0.5000  0.5000  0.0000

Largest 8 diffraction maxima, most intense first, 2θ from 15° to 90°:
d = 2.895 Å, 2θ 30.9, intensity 100
d = 2.510 Å, 2θ 35.8, intensity 34
d = 1.513 Å, 2θ 61.3, intensity 29
d = 1.772 Å, 2θ 51.6, intensity 24
d = 2.501 Å, 2θ 35.9, intensity 17
d = 1.509 Å, 2θ 61.4, intensity 14
d = 1.447 Å, 2θ 64.4, intensity 12
d = 1.775 Å, 2θ 51.5, intensity 12


This entry pairs a crystal structure of TbY8Er3 with its calculated powder X-ray diffraction pattern. Radiation: Cu Kα (λ = 1.5418 Å). Structure: a DFT-relaxed cell (PBE, Alexandria).
Neutral-atom scattering factors, no anomalous dispersion.

Atomic structure:
Lattice parameters (Å, degrees): 6.7515 6.7515 9.8703 90.00 90.00 118.11
Atoms (fractional coordinates):
Tb  0.0000  0.0000  0.0000
Y  0.2501  0.2501  0.3131
Y  0.2501  0.2501  0.6869
Y  0.2512  0.7488  0.1877
Y  0.2512  0.7488  0.8123
Y  0.7488  0.2512  0.1877
Y  0.7488  0.2512  0.8123
Y  0.7499  0.7499  0.3131
Y  0.7499  0.7499  0.6869
Er  0.0000  0.5000  0.5000
Er  0.5000  0.0000  0.5000
Er  0.5000  0.5000  0.0000

Largest 8 diffraction maxima, most intense first, 2θ from 15° to 90°:
d = 2.549 Å, 2θ 35.2, intensity 100
d = 2.861 Å, 2θ 31.3, intensity 89
d = 3.275 Å, 2θ 27.2, intensity 63
d = 2.895 Å, 2θ 30.9, intensity 50
d = 2.169 Å, 2θ 41.6, intensity 40
d = 4.995 Å, 2θ 17.8, intensity 27
d = 1.484 Å, 2θ 62.6, intensity 24
d = 1.596 Å, 2θ 57.8, intensity 24


This entry pairs a crystal structure of NaBi3 with its calculated powder X-ray diffraction pattern. Radiation: Cu Kα (λ = 1.5418 Å). Structure: a DFT-relaxed cell (PBE, Alexandria).
Neutral-atom scattering factors, no anomalous dispersion.

Atomic structure:
Lattice parameters (Å, degrees): 6.1304 6.1304 6.1304 132.36 132.36 69.66
Atoms (fractional coordinates):
Na  0.0000  0.0000  0.0000
Bi  0.2500  0.7500  0.5000
Bi  0.5000  0.5000  0.0000
Bi  0.7500  0.2500  0.5000

Largest 8 diffraction maxima, most intense first, 2θ from 15° to 90°:
d = 2.874 Å, 2θ 31.1, intensity 100
d = 2.476 Å, 2θ 36.3, intensity 34
d = 1.495 Å, 2θ 62.1, intensity 29
d = 1.765 Å, 2θ 51.8, intensity 25
d = 4.443 Å, 2θ 20.0, intensity 23
d = 2.516 Å, 2θ 35.7, intensity 18
d = 1.513 Å, 2θ 61.3, intensity 15
d = 1.145 Å, 2θ 84.7, intensity 13


This entry pairs a crystal structure of Co2CuI6 with its calculated powder X-ray diffraction pattern. Radiation: Cu Kα (λ = 1.5418 Å). Structure: a DFT-relaxed cell (PBE, Alexandria).
Neutral-atom scattering factors, no anomalous dispersion.

Atomic structure:
Lattice parameters (Å, degrees): 10.3936 10.3936 7.0232 105.24 105.24 96.76
Atoms (fractional coordinates):
Co  0.0111  0.8758  0.5452
Co  0.1242  0.9889  0.9548
Co  0.8758  0.0111  0.0452
Co  0.9889  0.1242  0.4548
Cu  0.4987  0.5013  0.7500
Cu  0.5013  0.4987  0.2500
I  0.0552  0.6609  0.3421
I  0.0776  0.2101  0.1812
I  0.2101  0.0776  0.6812
I  0.3124  0.5104  0.9332
I  0.3391  0.9448  0.1579
I  0.4896  0.6876  0.5668
I  0.5104  0.3124  0.4332
I  0.6609  0.0552  0.8421
I  0.6876  0.4896  0.0668
I  0.7899  0.9224  0.3188
I  0.9224  0.7899  0.8188
I  0.9448  0.3391  0.6579

Largest 8 diffraction maxima, most intense first, 2θ from 15° to 90°:
d = 3.599 Å, 2θ 24.7, intensity 100
d = 3.485 Å, 2θ 25.6, intensity 74
d = 3.366 Å, 2θ 26.5, intensity 69
d = 3.328 Å, 2θ 26.8, intensity 46
d = 4.078 Å, 2θ 21.8, intensity 36
d = 2.214 Å, 2θ 40.7, intensity 35
d = 2.092 Å, 2θ 43.2, intensity 35
d = 3.170 Å, 2θ 28.2, intensity 34


This entry pairs a crystal structure of Na4Sr2TiAs4 with its calculated powder X-ray diffraction pattern. Radiation: Cu Kα (λ = 1.5418 Å). Structure: a DFT-relaxed cell (PBE, Alexandria).
Neutral-atom scattering factors, no anomalous dispersion.

Atomic structure:
Lattice parameters (Å, degrees): 9.6386 9.6386 7.6233 90.33 90.33 120.34
Atoms (fractional coordinates):
Na  0.0684  0.9316  0.5000
Na  0.3288  0.8624  0.1839
Na  0.5224  0.6706  0.0316
Na  0.6663  0.9464  0.5196
Na  0.6706  0.5224  0.5316
Na  0.8624  0.3288  0.6839
Na  0.9316  0.0684  0.0000
Na  0.9464  0.6663  0.0196
Sr  0.2664  0.3228  0.6840
Sr  0.2683  0.7449  0.6873
Sr  0.3228  0.2664  0.1840
Sr  0.7449  0.2683  0.1873
Ti  0.1379  0.4729  0.2962
Ti  0.4729  0.1379  0.7962
As  0.1366  0.4640  0.9692
As  0.1823  0.9924  0.8906
As  0.4190  0.6065  0.4103
As  0.4640  0.1366  0.4692
As  0.6065  0.4190  0.9103
As  0.6056  0.9909  0.8989
As  0.9909  0.6056  0.3989
As  0.9924  0.1823  0.3906

Largest 8 diffraction maxima, most intense first, 2θ from 15° to 90°:
d = 2.820 Å, 2θ 31.7, intensity 100
d = 2.410 Å, 2θ 37.3, intensity 77
d = 2.918 Å, 2θ 30.6, intensity 67
d = 2.796 Å, 2θ 32.0, intensity 54
d = 3.666 Å, 2θ 24.3, intensity 54
d = 5.646 Å, 2θ 15.7, intensity 38
d = 2.397 Å, 2θ 37.5, intensity 36
d = 2.437 Å, 2θ 36.9, intensity 34


This entry pairs a crystal structure of VCdFe2Se with its calculated powder X-ray diffraction pattern. Radiation: Cu Kα (λ = 1.5418 Å). Structure: a DFT-relaxed cell (PBE, Alexandria).
Neutral-atom scattering factors, no anomalous dispersion.

Atomic structure:
Lattice parameters (Å, degrees): 4.7685 4.7685 4.9386 90.00 90.00 90.00
Atoms (fractional coordinates):
V  0.0000  0.0000  0.0000
Cd  0.0000  0.0000  0.5000
Fe  0.0000  0.5000  0.5000
Fe  0.5000  0.0000  0.5000
Se  0.5000  0.5000  0.0000

Largest 8 diffraction maxima, most intense first, 2θ from 15° to 90°:
d = 2.384 Å, 2θ 37.7, intensity 100
d = 3.430 Å, 2θ 26.0, intensity 85
d = 1.715 Å, 2θ 53.4, intensity 69
d = 2.469 Å, 2θ 36.4, intensity 55
d = 2.785 Å, 2θ 32.1, intensity 43
d = 1.958 Å, 2θ 46.4, intensity 35
d = 4.768 Å, 2θ 18.6, intensity 34
d = 1.392 Å, 2θ 67.2, intensity 33


This entry pairs a crystal structure of SmCr2Fe10 with its calculated powder X-ray diffraction pattern. Radiation: Cu Kα (λ = 1.5418 Å). Structure: a DFT-relaxed cell (PBE, Alexandria).
Neutral-atom scattering factors, no anomalous dispersion.

Atomic structure:
Lattice parameters (Å, degrees): 6.4088 6.4088 6.4088 137.30 98.11 97.13
Atoms (fractional coordinates):
Sm  0.0000  0.0000  0.0000
Cr  0.3691  0.3691  0.0000
Cr  0.6309  0.6309  0.0000
Fe  0.0000  0.0000  0.5000
Fe  0.0000  0.5000  0.0000
Fe  0.2279  0.5000  0.7279
Fe  0.2322  0.7322  0.5000
Fe  0.3594  0.0000  0.3594
Fe  0.5000  0.0000  0.0000
Fe  0.5000  0.5000  0.5000
Fe  0.6406  0.0000  0.6406
Fe  0.7678  0.2678  0.5000
Fe  0.7721  0.5000  0.2721

Largest 8 diffraction maxima, most intense first, 2θ from 15° to 90°:
d = 2.097 Å, 2θ 43.1, intensity 100
d = 2.089 Å, 2θ 43.3, intensity 74
d = 2.044 Å, 2θ 44.3, intensity 52
d = 2.040 Å, 2θ 44.4, intensity 46
d = 2.121 Å, 2θ 42.6, intensity 45
d = 1.838 Å, 2θ 49.6, intensity 33
d = 2.940 Å, 2θ 30.4, intensity 33
d = 2.401 Å, 2θ 37.5, intensity 29


This entry pairs a crystal structure of NpZnNi4H8 with its calculated powder X-ray diffraction pattern. Radiation: Cu Kα (λ = 1.5418 Å). Structure: a DFT-relaxed cell (PBE, Alexandria).
Neutral-atom scattering factors, no anomalous dispersion.

Atomic structure:
Lattice parameters (Å, degrees): 6.3455 6.3455 6.3455 46.33 46.33 46.33
Atoms (fractional coordinates):
Np  0.0000  0.0000  0.0000
Zn  0.6178  0.6178  0.6178
Ni  0.3864  0.3864  0.3864
Ni  0.4965  0.9948  0.9948
Ni  0.9948  0.4965  0.9948
Ni  0.9948  0.9948  0.4965
H  0.1940  0.7354  0.7354
H  0.2146  0.2146  0.2146
H  0.2755  0.2755  0.7709
H  0.2755  0.7709  0.2755
H  0.7354  0.1940  0.7354
H  0.7354  0.7354  0.1940
H  0.7709  0.2755  0.2755
H  0.7766  0.7766  0.7766

Largest 8 diffraction maxima, most intense first, 2θ from 15° to 90°:
d = 2.284 Å, 2θ 39.5, intensity 100
d = 2.669 Å, 2θ 33.6, intensity 96
d = 4.190 Å, 2θ 21.2, intensity 65
d = 2.095 Å, 2θ 43.2, intensity 52
d = 3.852 Å, 2θ 23.1, intensity 45
d = 2.496 Å, 2θ 36.0, intensity 42
d = 1.472 Å, 2θ 63.2, intensity 30
d = 2.826 Å, 2θ 31.7, intensity 30